# 1
Theoretical powder XRD pattern
Compound: Mg3H12SeO9
Radiation: Cu Kα, 1.54184 Å
Structure: a crystal structure in Alexandria, relaxed with GGA-PBE
Neutral-atom scattering factors, no anomalous dispersion.

Top 6 peaks for 5 to 70 degrees two-theta, most intense first:
2θ 24.53, rel. 100
2θ 9.27, rel. 92
2θ 15.44, rel. 74
2θ 20.27, rel. 67
2θ 24.01, rel. 64
2θ 28.38, rel. 61

```
data_Mg3H12SeO9
_cell_length_a 4.898
_cell_length_b 6.699
_cell_length_c 9.891
_cell_angle_alpha 76.42
_cell_angle_beta 79.00
_cell_angle_gamma 71.51
_symmetry_space_group_name_H-M 'P 1'
_symmetry_Int_Tables_number 1
_symmetry_space_group_name_Hall 'P 1'
loop_
_atom_site_label
_atom_site_fract_x
_atom_site_fract_y
_atom_site_fract_z
_atom_site_occupancy
Mg1 0.000 0.000 0.000 1
Mg2 0.184 0.521 0.861 1
Mg3 0.389 0.784 0.531 1
H1 0.118 0.619 0.095 1
H2 0.127 0.896 0.281 1
H3 0.328 0.369 0.285 1
H4 0.392 0.678 0.301 1
H5 0.460 0.176 0.461 1
H6 0.470 0.093 0.629 1
H7 0.654 0.195 0.258 1
H8 0.755 0.894 0.236 1
H9 0.768 0.439 0.594 1
H10 0.834 0.429 0.277 1
H11 0.912 0.532 0.386 1
H12 0.978 0.644 0.629 1
Se1 0.589 0.141 0.828 1
O1 0.113 0.682 0.677 1
O2 0.159 0.691 0.998 1
O3 0.210 0.216 0.928 1
O4 0.315 0.816 0.331 1
O5 0.405 0.071 0.546 1
O6 0.531 0.317 0.310 1
O7 0.775 0.578 0.536 1
O8 0.868 0.997 0.202 1
O9 0.975 0.502 0.285 1
```



# 2
Theoretical powder XRD pattern
Compound: MgH12SeO9
Radiation: Cu Kα, 1.54184 Å
Structure: a crystal structure in Alexandria, relaxed with GGA-PBE
Neutral-atom scattering factors, no anomalous dispersion.

Top 6 peaks for 5 to 70 degrees two-theta, most intense first:
2θ 19.79, rel. 100
2θ 22.77, rel. 76
2θ 32.05, rel. 56
2θ 30.34, rel. 47
2θ 36.49, rel. 39
2θ 51.00, rel. 34

```
data_MgH12SeO9
_cell_length_a 8.9705
_cell_length_b 8.9705
_cell_length_c 9.0369
_cell_angle_alpha 90.00
_cell_angle_beta 90.00
_cell_angle_gamma 120.00
_symmetry_space_group_name_H-M 'R 3'
_symmetry_Int_Tables_number 146
_symmetry_space_group_name_Hall 'R 3'
loop_
_atom_site_label
_atom_site_fract_x
_atom_site_fract_y
_atom_site_fract_z
_atom_site_occupancy
Mg1 0.0000 0.0000 0.0000 1
H1 0.0203 0.6089 0.7891 1
H2 0.0206 0.8391 0.2535 1
H3 0.0343 0.4795 0.5072 1
H4 0.1314 0.3691 0.4989 1
Se1 0.0000 0.0000 0.5192 1
O1 0.0044 0.1952 0.8727 1
O2 0.0537 0.8604 0.4327 1
O3 0.1470 0.6731 0.8120 1
```



# 3
Theoretical powder XRD pattern
Compound: MgSiH6O6
Radiation: Cu Kα, 1.54184 Å
Structure: a crystal structure in Alexandria, relaxed with GGA-PBE
Neutral-atom scattering factors, no anomalous dispersion.

Top 6 peaks for 5 to 70 degrees two-theta, most intense first:
2θ 24.22, rel. 100
2θ 24.07, rel. 60
2θ 55.58, rel. 38
2θ 40.51, rel. 32
2θ 55.91, rel. 21
2θ 40.89, rel. 20

```
data_MgSiH6O6
_cell_length_a 5.152
_cell_length_b 5.241
_cell_length_c 7.394
_cell_angle_alpha 90.00
_cell_angle_beta 90.16
_cell_angle_gamma 90.00
_symmetry_space_group_name_H-M 'P 1 21 1'
_symmetry_Int_Tables_number 4
_symmetry_space_group_name_Hall 'P 2yb'
loop_
_atom_site_label
_atom_site_fract_x
_atom_site_fract_y
_atom_site_fract_z
_atom_site_occupancy
Mg1 0.247 0.000 0.251 1
Si1 0.249 0.001 0.749 1
H1 0.011 0.864 0.992 1
H2 0.067 0.345 0.452 1
H3 0.226 0.448 0.734 1
H4 0.311 0.536 0.217 1
H5 0.410 0.683 0.941 1
H6 0.494 0.119 0.511 1
O1 0.046 0.343 0.318 1
O2 0.104 0.307 0.699 1
O3 0.125 0.014 0.978 1
O4 0.372 0.974 0.521 1
O5 0.407 0.696 0.807 1
O6 0.450 0.659 0.183 1
```



# 4
Theoretical powder XRD pattern
Compound: MgSiH6O6
Radiation: Cu Kα, 1.54184 Å
Structure: a crystal structure in Alexandria, relaxed with GGA-PBE
Neutral-atom scattering factors, no anomalous dispersion.

Top 6 peaks for 5 to 70 degrees two-theta, most intense first:
2θ 24.28, rel. 100
2θ 24.16, rel. 60
2θ 55.87, rel. 45
2θ 40.68, rel. 44
2θ 62.13, rel. 23
2θ 38.93, rel. 23

```
data_MgSiH6O6
_cell_length_a 5.165
_cell_length_b 5.205
_cell_length_c 7.369
_cell_angle_alpha 90.00
_cell_angle_beta 90.07
_cell_angle_gamma 90.00
_symmetry_space_group_name_H-M 'P 1 21 1'
_symmetry_Int_Tables_number 4
_symmetry_space_group_name_Hall 'P 2yb'
loop_
_atom_site_label
_atom_site_fract_x
_atom_site_fract_y
_atom_site_fract_z
_atom_site_occupancy
Mg1 0.247 0.000 0.251 1
Si1 0.252 0.000 0.750 1
H1 0.036 0.806 0.985 1
H2 0.068 0.654 0.448 1
H3 0.228 0.554 0.732 1
H4 0.303 0.465 0.226 1
H5 0.410 0.317 0.949 1
H6 0.459 0.208 0.511 1
O1 0.052 0.657 0.313 1
O2 0.112 0.697 0.690 1
O3 0.133 0.969 0.979 1
O4 0.368 0.042 0.521 1
O5 0.400 0.303 0.814 1
O6 0.441 0.342 0.189 1
```



# 5
Theoretical powder XRD pattern
Compound: Sm4MgH4O8
Radiation: Cu Kα, 1.54184 Å
Structure: a crystal structure in Alexandria, relaxed with GGA-PBE
Neutral-atom scattering factors, no anomalous dispersion.

Top 6 peaks for 5 to 70 degrees two-theta, most intense first:
2θ 29.84, rel. 100
2θ 27.60, rel. 79
2θ 28.57, rel. 74
2θ 29.72, rel. 73
2θ 14.97, rel. 71
2θ 17.21, rel. 65

```
data_Sm4MgH4O8
_cell_length_a 5.766
_cell_length_b 3.679
_cell_length_c 11.836
_cell_angle_alpha 90.00
_cell_angle_beta 90.91
_cell_angle_gamma 90.00
_symmetry_space_group_name_H-M 'P 1 m 1'
_symmetry_Int_Tables_number 6
_symmetry_space_group_name_Hall 'P -2y'
loop_
_atom_site_label
_atom_site_fract_x
_atom_site_fract_y
_atom_site_fract_z
_atom_site_occupancy
Sm1 0.000 0.000 0.000 1
Sm2 0.139 0.500 0.636 1
Sm3 0.511 0.500 0.176 1
Sm4 0.660 0.000 0.467 1
Mg1 0.562 0.000 0.763 1
H1 0.242 0.500 0.393 1
H2 0.278 0.500 0.858 1
H3 0.894 0.000 0.252 1
H4 0.954 0.000 0.764 1
O1 0.103 0.500 0.858 1
O2 0.304 0.000 0.117 1
O3 0.379 0.000 0.608 1
O4 0.411 0.500 0.382 1
O5 0.730 0.000 0.271 1
O6 0.828 0.500 0.071 1
O7 0.885 0.000 0.687 1
O8 0.892 0.500 0.489 1
```



# 6
Theoretical powder XRD pattern
Compound: Sr2MgH8O6
Radiation: Cu Kα, 1.54184 Å
Structure: a crystal structure in Alexandria, relaxed with GGA-PBE
Neutral-atom scattering factors, no anomalous dispersion.

Top 6 peaks for 5 to 70 degrees two-theta, most intense first:
2θ 16.47, rel. 100
2θ 9.60, rel. 46
2θ 29.61, rel. 34
2θ 40.67, rel. 27
2θ 29.08, rel. 27
2θ 41.73, rel. 25

```
data_Sr2MgH8O6
_cell_length_a 3.680
_cell_length_b 6.307
_cell_length_c 9.304
_cell_angle_alpha 93.90
_cell_angle_beta 96.66
_cell_angle_gamma 94.25
_symmetry_space_group_name_H-M 'P 1'
_symmetry_Int_Tables_number 1
_symmetry_space_group_name_Hall 'P 1'
loop_
_atom_site_label
_atom_site_fract_x
_atom_site_fract_y
_atom_site_fract_z
_atom_site_occupancy
Sr1 0.000 0.000 0.000 1
Sr2 0.110 0.336 0.338 1
Mg1 0.401 0.018 0.619 1
H1 0.057 0.637 0.600 1
H2 0.228 0.535 0.034 1
H3 0.434 0.659 0.865 1
H4 0.474 0.624 0.583 1
H5 0.488 0.275 0.836 1
H6 0.553 0.004 0.280 1
H7 0.712 0.724 0.427 1
H8 0.801 0.516 0.037 1
O1 0.022 0.442 0.075 1
O2 0.304 0.684 0.654 1
O3 0.462 0.119 0.832 1
O4 0.493 0.691 0.971 1
O5 0.550 0.104 0.203 1
O6 0.690 0.573 0.450 1
```